Entry 1:
For YPaNi, a cell relaxed with GGA-PBE gives the simulated powder XRD pattern in this record (a wavelength of 1.5418 Å).
Lines closer than 0.1° are merged.

Largest 6 diffraction maxima, by angle, 10 to 80 degrees two-theta:
d 6.168, rel. 71; d 3.042, rel. 49; d 2.951, rel. 54; d 2.784, rel. 79; d 2.710, rel. 84; d 2.650, rel. 100

Cell and atoms:
Unit cell a=13.3435 b=3.4652 c=6.3848 alpha=90.00 beta=112.40 gamma=90.00
Element x y z (fractional)
Y 0.0160 0.0000 0.2670
Y 0.4840 0.5000 0.7330
Y 0.5160 0.5000 0.2670
Y 0.9840 0.0000 0.7330
Pa 0.2155 0.5000 0.7060
Pa 0.2845 0.0000 0.2940
Pa 0.7155 0.0000 0.7060
Pa 0.7845 0.5000 0.2940
Ni 0.1344 0.5000 0.0849
Ni 0.3656 0.0000 0.9151
Ni 0.6344 0.0000 0.0849
Ni 0.8656 0.5000 0.9151

---

Entry 2:
For YPaNi17, a cell relaxed with GGA-PBE gives the simulated powder XRD pattern in this record (a wavelength of 1.5418 Å).
Lines closer than 0.1° are merged.

Largest 6 diffraction maxima, by angle, 10 to 80 degrees two-theta:
d 2.882, rel. 33; d 2.385, rel. 42; d 2.307, rel. 26; d 2.066, rel. 60; d 2.052, rel. 100; d 2.012, rel. 48

Cell and atoms:
Unit cell a=6.2406 b=6.2406 c=6.2406 alpha=82.91 beta=82.91 gamma=82.91
Element x y z (fractional)
Y 0.0000 0.0000 0.0000
Pa 0.3251 0.3251 0.3251
Ni 0.0109 0.0109 0.5031
Ni 0.0109 0.5031 0.0109
Ni 0.1602 0.6646 0.6646
Ni 0.3165 0.3165 0.8138
Ni 0.3165 0.8138 0.3165
Ni 0.3667 0.6596 0.9601
Ni 0.3667 0.9601 0.6596
Ni 0.5031 0.0109 0.0109
Ni 0.5588 0.5588 0.5588
Ni 0.6596 0.3667 0.9601
Ni 0.6596 0.9601 0.3667
Ni 0.6646 0.1602 0.6646
Ni 0.6646 0.6646 0.1602
Ni 0.7592 0.7592 0.7592
Ni 0.8138 0.3165 0.3165
Ni 0.9601 0.3667 0.6596
Ni 0.9601 0.6596 0.3667

---

Entry 3:
For Pa2ZnNi3, a cell relaxed with GGA-PBE gives the simulated powder XRD pattern in this record (a wavelength of 1.5418 Å).
Lines closer than 0.1° are merged.

Largest 6 diffraction maxima, by angle, 10 to 80 degrees two-theta:
d 3.722, rel. 46; d 2.411, rel. 100; d 2.154, rel. 18; d 2.146, rel. 37; d 1.606, rel. 19; d 1.274, rel. 12

Cell and atoms:
Unit cell a=8.5850 b=8.0720 c=5.3467 alpha=76.57 beta=66.14 gamma=37.28
Element x y z (fractional)
Pa 0.2315 0.7685 0.7685
Pa 0.2500 0.2500 0.2500
Pa 0.7500 0.7500 0.7500
Pa 0.7685 0.2315 0.2315
Zn 0.3353 0.3353 0.6647
Zn 0.6647 0.6647 0.3353
Ni 0.1692 0.6612 0.3388
Ni 0.1697 0.1697 0.8303
Ni 0.3388 0.8308 0.1692
Ni 0.6612 0.1692 0.8308
Ni 0.8303 0.8303 0.1697
Ni 0.8308 0.3388 0.6612

---

Entry 4:
For Pa2Zn15Ni2, a cell relaxed with GGA-PBE gives the simulated powder XRD pattern in this record (a wavelength of 1.5418 Å).
Lines closer than 0.1° are merged.

Largest 6 diffraction maxima, by angle, 10 to 80 degrees two-theta:
d 3.106, rel. 43; d 2.577, rel. 47; d 2.485, rel. 32; d 2.232, rel. 73; d 2.214, rel. 100; d 2.162, rel. 43

Cell and atoms:
Unit cell a=6.7280 b=6.7280 c=6.7280 alpha=83.13 beta=83.13 gamma=83.13
Element x y z (fractional)
Pa 0.1661 0.1661 0.1661
Pa 0.8339 0.8339 0.8339
Zn 0.0000 0.5000 0.5000
Zn 0.1479 0.1479 0.6570
Zn 0.1479 0.6570 0.1479
Zn 0.2137 0.5000 0.7863
Zn 0.2137 0.7863 0.5000
Zn 0.3430 0.8521 0.8521
Zn 0.5000 0.0000 0.5000
Zn 0.5000 0.2137 0.7863
Zn 0.5000 0.5000 0.0000
Zn 0.5000 0.7863 0.2137
Zn 0.6570 0.1479 0.1479
Zn 0.7863 0.2137 0.5000
Zn 0.7863 0.5000 0.2137
Zn 0.8521 0.3430 0.8521
Zn 0.8521 0.8521 0.3430
Ni 0.3707 0.3707 0.3707
Ni 0.6293 0.6293 0.6293

---

Entry 5:
For PaZn2Ni, a cell relaxed with GGA-PBE gives the simulated powder XRD pattern in this record (a wavelength of 1.5418 Å).
Lines closer than 0.1° are merged.

Largest 6 diffraction maxima, by angle, 10 to 80 degrees two-theta:
d 3.885, rel. 31; d 2.588, rel. 32; d 2.525, rel. 42; d 2.417, rel. 100; d 2.123, rel. 29; d 2.115, rel. 32

Cell and atoms:
Unit cell a=3.2972 b=19.6347 c=4.2300 alpha=90.00 beta=90.00 gamma=90.00
Element x y z (fractional)
Pa 0.0000 0.1112 0.2500
Pa 0.0000 0.8888 0.7500
Pa 0.5000 0.3888 0.7500
Pa 0.5000 0.6112 0.2500
Zn 0.0000 0.2534 0.7500
Zn 0.0000 0.4688 0.2500
Zn 0.0000 0.5312 0.7500
Zn 0.0000 0.7466 0.2500
Zn 0.5000 0.0312 0.7500
Zn 0.5000 0.2466 0.2500
Zn 0.5000 0.7534 0.7500
Zn 0.5000 0.9688 0.2500
Ni 0.0000 0.3427 0.2500
Ni 0.0000 0.6573 0.7500
Ni 0.5000 0.1573 0.7500
Ni 0.5000 0.8427 0.2500

---

Entry 6:
For PaZn4Ni2, a cell relaxed with GGA-PBE gives the simulated powder XRD pattern in this record (a wavelength of 1.5418 Å).
Lines closer than 0.1° are merged.

Largest 6 diffraction maxima, by angle, 10 to 80 degrees two-theta:
d 3.529, rel. 27; d 2.536, rel. 100; d 2.307, rel. 41; d 2.016, rel. 24; d 2.002, rel. 26; d 1.372, rel. 23

Cell and atoms:
Unit cell a=7.2945 b=7.2945 c=4.0319 alpha=90.00 beta=90.00 gamma=90.00
Element x y z (fractional)
Pa 0.0000 0.0000 0.0000
Pa 0.5000 0.5000 0.5000
Zn 0.0910 0.3427 0.5000
Zn 0.1573 0.5910 0.0000
Zn 0.3427 0.0910 0.5000
Zn 0.4090 0.8427 0.0000
Zn 0.5910 0.1573 0.0000
Zn 0.6573 0.9090 0.5000
Zn 0.8427 0.4090 0.0000
Zn 0.9090 0.6573 0.5000
Ni 0.2187 0.7813 0.5000
Ni 0.2813 0.2813 0.0000
Ni 0.7187 0.7187 0.0000
Ni 0.7813 0.2187 0.5000

---

Entry 7:
For Pa2Zn5Ni5, a cell relaxed with GGA-PBE gives the simulated powder XRD pattern in this record (a wavelength of 1.5418 Å).
Lines closer than 0.1° are merged.

Largest 6 diffraction maxima, by angle, 10 to 80 degrees two-theta:
d 3.012, rel. 75; d 2.490, rel. 35; d 2.156, rel. 39; d 2.143, rel. 100; d 2.105, rel. 28; d 1.506, rel. 25

Cell and atoms:
Unit cell a=4.2094 b=4.9796 c=8.6229 alpha=90.00 beta=90.00 gamma=90.00
Element x y z (fractional)
Pa 0.0000 0.0000 0.0000
Pa 0.0000 0.5000 0.5000
Zn 0.5000 0.0000 0.5000
Zn 0.5000 0.2518 0.2459
Zn 0.5000 0.2518 0.7541
Zn 0.5000 0.7482 0.2459
Zn 0.5000 0.7482 0.7541
Ni 0.0000 0.0000 0.3336
Ni 0.0000 0.0000 0.6664
Ni 0.0000 0.5000 0.1634
Ni 0.0000 0.5000 0.8366
Ni 0.5000 0.5000 0.0000

---

Entry 8:
For Pa2ZnNi4, a cell relaxed with GGA-PBE gives the simulated powder XRD pattern in this record (a wavelength of 1.5418 Å).
Lines closer than 0.1° are merged.

Largest 6 diffraction maxima, by angle, 10 to 80 degrees two-theta:
d 4.167, rel. 37; d 3.110, rel. 100; d 3.093, rel. 82; d 2.251, rel. 79; d 2.199, rel. 87; d 1.792, rel. 36

Cell and atoms:
Unit cell a=4.3975 b=4.3975 c=13.0523 alpha=90.00 beta=90.00 gamma=90.00
Element x y z (fractional)
Pa 0.0000 0.0000 0.1397
Pa 0.0000 0.0000 0.8603
Pa 0.5000 0.5000 0.3603
Pa 0.5000 0.5000 0.6397
Zn 0.0000 0.0000 0.5000
Zn 0.5000 0.5000 0.0000
Ni 0.0000 0.0000 0.3219
Ni 0.0000 0.0000 0.6781
Ni 0.0000 0.5000 0.0000
Ni 0.0000 0.5000 0.5000
Ni 0.5000 0.0000 0.0000
Ni 0.5000 0.0000 0.5000
Ni 0.5000 0.5000 0.1781
Ni 0.5000 0.5000 0.8219

---

Entry 9:
For Ni5Pb4, a cell relaxed with GGA-PBE gives the simulated powder XRD pattern in this record (a wavelength of 1.5418 Å).
Lines closer than 0.1° are merged.

Largest 6 diffraction maxima, by angle, 10 to 80 degrees two-theta:
d 3.440, rel. 26; d 3.288, rel. 49; d 2.377, rel. 30; d 2.357, rel. 100; d 2.294, rel. 88; d 1.234, rel. 24

Cell and atoms:
Unit cell a=7.9454 b=7.9454 c=5.8568 alpha=90.00 beta=90.00 gamma=120.00
Element x y z (fractional)
Ni 0.0000 0.2999 0.2500
Ni 0.0000 0.7001 0.7500
Ni 0.2999 0.0000 0.2500
Ni 0.2999 0.2999 0.7500
Ni 0.3333 0.6667 0.0000
Ni 0.3333 0.6667 0.5000
Ni 0.6667 0.3333 0.0000
Ni 0.6667 0.3333 0.5000
Ni 0.7001 0.0000 0.7500
Ni 0.7001 0.7001 0.2500
Pb 0.0000 0.0000 0.0000
Pb 0.0000 0.0000 0.5000
Pb 0.0000 0.3774 0.7500
Pb 0.0000 0.6226 0.2500
Pb 0.3774 0.0000 0.7500
Pb 0.3774 0.3774 0.2500
Pb 0.6226 0.0000 0.2500
Pb 0.6226 0.6226 0.7500

---

Entry 10:
For NiPd3Pb6, a cell relaxed with GGA-PBE gives the simulated powder XRD pattern in this record (a wavelength of 1.5418 Å).
Lines closer than 0.1° are merged.

Largest 6 diffraction maxima, by angle, 10 to 80 degrees two-theta:
d 3.122, rel. 100; d 3.044, rel. 80; d 2.932, rel. 63; d 2.784, rel. 89; d 2.340, rel. 71; d 2.142, rel. 64

Cell and atoms:
Unit cell a=7.2420 b=6.9238 c=11.3037 alpha=90.00 beta=122.56 gamma=90.00
Element x y z (fractional)
Ni 0.0000 0.0000 0.0000
Ni 0.0000 0.5000 0.5000
Pd 0.3077 0.1669 0.7757
Pd 0.3077 0.3331 0.2757
Pd 0.5000 0.0000 0.5000
Pd 0.5000 0.5000 0.0000
Pd 0.6923 0.6669 0.7243
Pd 0.6923 0.8331 0.2243
Pb 0.0733 0.5081 0.7549
Pb 0.0733 0.9919 0.2549
Pb 0.2303 0.6649 0.0861
Pb 0.2303 0.8351 0.5861
Pb 0.3901 0.1477 0.0706
Pb 0.3901 0.3523 0.5706
Pb 0.6099 0.6477 0.4294
Pb 0.6099 0.8523 0.9294
Pb 0.7697 0.1649 0.4139
Pb 0.7697 0.3351 0.9139
Pb 0.9267 0.0081 0.7451
Pb 0.9267 0.4919 0.2451

---

Entry 11:
For Pm6NiPb3, a cell relaxed with GGA-PBE gives the simulated powder XRD pattern in this record (a wavelength of 1.5418 Å).
Lines closer than 0.1° are merged.

Largest 6 diffraction maxima, by angle, 10 to 80 degrees two-theta:
d 3.028, rel. 51; d 3.006, rel. 48; d 2.927, rel. 50; d 2.855, rel. 80; d 2.727, rel. 51; d 2.706, rel. 100

Cell and atoms:
Unit cell a=6.3525 b=8.9764 c=12.3876 alpha=90.00 beta=118.30 gamma=90.00
Element x y z (fractional)
Pm 0.0694 0.1576 0.4446
Pm 0.0694 0.3424 0.9446
Pm 0.3443 0.6960 0.4415
Pm 0.3443 0.8040 0.9415
Pm 0.4019 0.0466 0.2708
Pm 0.4019 0.4534 0.7708
Pm 0.5981 0.5466 0.2292
Pm 0.5981 0.9534 0.7292
Pm 0.6557 0.1960 0.0585
Pm 0.6557 0.3040 0.5585
Pm 0.9306 0.6576 0.0554
Pm 0.9306 0.8424 0.5554
Ni 0.5000 0.0000 0.5000
Ni 0.5000 0.5000 0.0000
Pb 0.0000 0.0000 0.0000
Pb 0.0000 0.5000 0.5000
Pb 0.1644 0.1155 0.7602
Pb 0.1644 0.3845 0.2602
Pb 0.8356 0.6155 0.7398
Pb 0.8356 0.8845 0.2398

---

Entry 12:
For Ni2RuPb, a cell relaxed with GGA-PBE gives the simulated powder XRD pattern in this record (a wavelength of 1.5418 Å).
Lines closer than 0.1° are merged.

Largest 6 diffraction maxima, by angle, 10 to 80 degrees two-theta:
d 3.517, rel. 17; d 2.842, rel. 16; d 2.239, rel. 100; d 2.010, rel. 36; d 1.348, rel. 19; d 1.200, rel. 26

Cell and atoms:
Unit cell a=4.0191 b=4.0191 c=7.2693 alpha=90.00 beta=90.00 gamma=90.00
Element x y z (fractional)
Ni 0.0000 0.5000 0.2500
Ni 0.0000 0.5000 0.7500
Ni 0.5000 0.0000 0.2500
Ni 0.5000 0.0000 0.7500
Ru 0.0000 0.0000 0.0000
Ru 0.5000 0.5000 0.5000
Pb 0.0000 0.0000 0.5000
Pb 0.5000 0.5000 0.0000